Computed XRD peak list
Compound: FeAs2Pb2O9
Radiation: CuKα
Structure: the GGA+U geometry in Alexandria
Intensities are scaled so that the largest is 100.

Structural model:
Cell: 8.302 5.949 9.070 Å, 90.00 113.67 90.00°
Space group P2_1/m (No. 11)
One atom of each set of equivalent atoms:
Fe (0.000, 0.000, 0.000) (multiplicity 2)
As (0.000, 0.250, 0.327) (multiplicity 2)
As (0.420, 0.250, 0.182) (multiplicity 2)
Pb (0.277, 0.750, 0.380) (multiplicity 2)
Pb (0.318, 0.250, 0.752) (multiplicity 2)
O (0.034, 0.505, 0.790) (multiplicity 4)
O (0.148, 0.750, 0.589) (multiplicity 2)
O (0.150, 0.750, 0.083) (multiplicity 2)
O (0.188, 0.250, 0.089) (multiplicity 2)
O (0.218, 0.250, 0.456) (multiplicity 2)
O (0.482, 0.013, 0.302) (multiplicity 4)
O (0.494, 0.750, 0.959) (multiplicity 2)

Most intense lines, 2θ = 10–80°, by angle:
d 4.837, 2θ = 18.34°, intensity 31
d 4.148, 2θ = 21.42°, intensity 38
d 3.707, 2θ = 24.00°, intensity 41
d 3.401, 2θ = 26.21°, intensity 100
d 3.092, 2θ = 28.87°, intensity 57
d 3.022, 2θ = 29.56°, intensity 42
d 2.974, 2θ = 30.04°, intensity 43
d 2.785, 2θ = 32.14°, intensity 39
d 2.697, 2θ = 33.21°, intensity 26
d 2.119, 2θ = 42.66°, intensity 25